# 1
Computed powder diffractogram of FeNi6Ru for copper Kα, from a GGA-PBE-relaxed structure.
Lines closer than 0.1° are merged.

```
data_FeNi6Ru
_cell_length_a 7.1687
_cell_length_b 10.1507
_cell_length_c 10.1543
_cell_angle_alpha 90.00
_cell_angle_beta 90.00
_cell_angle_gamma 90.00
_symmetry_space_group_name_H-M 'C m m m'
_symmetry_Int_Tables_number 65
_symmetry_space_group_name_Hall '-C 2 2'
loop_
_atom_site_label
_atom_site_type_symbol
_atom_site_fract_x
_atom_site_fract_y
_atom_site_fract_z
_atom_site_occupancy
Fe1 Fe 0.0000 0.0000 0.2476 1
Fe2 Fe 0.0000 0.2512 0.0000 1
Ni1 Ni 0.0000 0.0000 0.0000 1
Ni2 Ni 0.0000 0.0000 0.5000 1
Ni3 Ni 0.0000 0.2487 0.2468 1
Ni4 Ni 0.0000 0.5000 0.0000 1
Ni5 Ni 0.0000 0.5000 0.5000 1
Ni6 Ni 0.2469 0.1244 0.3725 1
Ni7 Ni 0.2472 0.1258 0.1231 1
Ru1 Ru 0.0000 0.2510 0.5000 1
Ru2 Ru 0.0000 0.5000 0.2482 1
```

The 10 most intense peaks (10° ≤ 2θ ≤ 90°), by angle:
| d_spacing | 2θ (°) | I (rel.) | hkl |
| --- | --- | --- | --- |
| 5.856 | 15.1 | 8 | 1 1 0 |
| 4.540 | 19.6 | 5 | 0 2 1 |
| 3.836 | 23.2 | 8 | 1 1 2 |
| 3.588 | 24.8 | 12 | 2 0 0 |
| 2.814 | 31.8 | 7 | 0 2 3 |
| 2.537 | 35.4 | 9 | 0 0 4 |
| 2.328 | 38.7 | 5 | 3 1 0 |
| 2.071 | 43.7 | 1000 | 2 4 0 |
| 1.794 | 50.9 | 467 | 4 0 0 |
| 1.268 | 74.9 | 271 | 0 8 0 |

# 2
Computed powder diffractogram of Pr5Y4Cd for copper Kα, from a GGA-PBE-relaxed structure.
Lines closer than 0.1° are merged.

```
data_Pr5Y4Cd
_cell_length_a 3.6771
_cell_length_b 3.6771
_cell_length_c 24.6742
_cell_angle_alpha 90.00
_cell_angle_beta 90.00
_cell_angle_gamma 90.00
_symmetry_space_group_name_H-M 'P 4/m m m'
_symmetry_Int_Tables_number 123
_symmetry_space_group_name_Hall '-P 4 2'
loop_
_atom_site_label
_atom_site_type_symbol
_atom_site_fract_x
_atom_site_fract_y
_atom_site_fract_z
_atom_site_occupancy
Pr1 Pr 0.0000 0.0000 0.0000 1
Pr2 Pr 0.0000 0.0000 0.2057 1
Pr3 Pr 0.0000 0.0000 0.4131 1
Y1 Y 0.5000 0.5000 0.1029 1
Y2 Y 0.5000 0.5000 0.3088 1
Cd1 Cd 0.5000 0.5000 0.5000 1
```

The 10 most intense peaks (10° ≤ 2θ ≤ 90°), by angle:
| d_spacing | 2θ (°) | I (rel.) | hkl |
| --- | --- | --- | --- |
| 2.949 | 30.3 | 1000 | 1 0 5 |
| 2.600 | 34.5 | 376 | 1 1 0 |
| 2.467 | 36.4 | 126 | 0 0 10 |
| 1.839 | 49.6 | 133 | 2 0 0 |
| 1.790 | 51.0 | 190 | 1 1 10 |
| 1.560 | 59.2 | 291 | 2 1 5 |
| 1.502 | 61.8 | 76 | 1 0 15 |
| 1.474 | 63.1 | 99 | 2 0 10 |
| 1.190 | 80.8 | 59 | 3 0 5 |
| 1.163 | 83.0 | 124 | 3 1 0 |

# 3
Computed powder diffractogram of DyErLuTh for copper Kα, from a GGA-PBE-relaxed structure.
Lines closer than 0.1° are merged.

```
data_DyErLuTh
_cell_length_a 7.9393
_cell_length_b 7.9393
_cell_length_c 7.9393
_cell_angle_alpha 90.00
_cell_angle_beta 90.00
_cell_angle_gamma 90.00
_symmetry_space_group_name_H-M 'F -4 3 m'
_symmetry_Int_Tables_number 216
_symmetry_space_group_name_Hall 'F -4 2 3'
loop_
_atom_site_label
_atom_site_type_symbol
_atom_site_fract_x
_atom_site_fract_y
_atom_site_fract_z
_atom_site_occupancy
Dy1 Dy 0.0000 0.0000 0.0000 1
Er1 Er 0.2500 0.2500 0.2500 1
Lu1 Lu 0.2500 0.2500 0.7500 1
Th1 Th 0.0000 0.0000 0.5000 1
```

The 8 most intense peaks (10° ≤ 2θ ≤ 90°), by angle:
| d_spacing | 2θ (°) | I (rel.) | hkl |
| --- | --- | --- | --- |
| 4.584 | 19.4 | 16 | 1 1 1 |
| 2.807 | 31.9 | 1000 | 2 2 0 |
| 2.394 | 37.6 | 10 | 3 1 1 |
| 1.985 | 45.7 | 187 | 4 0 0 |
| 1.621 | 56.8 | 396 | 4 2 2 |
| 1.403 | 66.6 | 123 | 4 4 0 |
| 1.255 | 75.8 | 171 | 6 2 0 |
| 1.146 | 84.6 | 44 | 4 4 4 |